Record 1
Theoretical PXRD pattern of Zn2Co2O5 for copper Kα, from a structure optimized by DFT (GGA+U).
No peak broadening, texture or thermal motion is included.

Peak list (10 most intense, 2θ = 10–90°, low angle first)
- hkl 2 0 0, d 3.137, 2θ 28.45, I 66
- hkl 2 0 -1, d 3.024, 2θ 29.54, I 41
- hkl 2 0 1, d 2.999, 2θ 29.79, I 65
- hkl 1 1 -1, d 2.797, 2θ 32.00, I 60
- hkl 1 1 1, d 2.787, 2θ 32.12, I 66
- hkl 0 0 4, d 2.686, 2θ 33.36, I 100
- hkl 1 1 -2, d 2.553, 2θ 35.15, I 92
- hkl 1 1 2, d 2.539, 2θ 35.36, I 98
- hkl 3 1 -1, d 1.740, 2θ 52.59, I 42
- hkl 0 2 0, d 1.629, 2θ 56.49, I 38

Cell and atoms:
```
data_Zn2Co2O5
_symmetry_space_group_name_H-M 'P 1 m 1'
_symmetry_Int_Tables_number 6
_cell_length_a 6.275
_cell_length_b 3.258
_cell_length_c 10.742
_cell_angle_alpha 90.00
_cell_angle_beta 90.87
_cell_angle_gamma 90.00
loop_
_symmetry_equiv_pos_as_xyz
'x,y,z'
'x,-y,z'
loop_
_atom_site_label
_atom_site_type_symbol
_atom_site_fract_x
_atom_site_fract_y
_atom_site_fract_z
_atom_site_occupancy
Zn1 Zn 0.000 0.000 0.000 1
Zn2 Zn 0.149 0.000 0.504 1
Zn3 Zn 0.493 0.000 0.723 1
Zn4 Zn 0.708 0.000 0.218 1
Co1 Co 0.016 0.500 0.736 1
Co2 Co 0.192 0.500 0.234 1
Co3 Co 0.540 0.500 0.976 1
Co4 Co 0.648 0.500 0.482 1
O1 O 0.028 0.000 0.186 1
O2 O 0.044 0.500 0.904 1
O3 O 0.177 0.000 0.698 1
O4 O 0.191 0.500 0.401 1
O5 O 0.360 0.500 0.104 1
O6 O 0.516 0.000 0.537 1
O7 O 0.589 0.500 0.807 1
O8 O 0.654 0.500 0.311 1
O9 O 0.676 0.000 0.027 1
O10 O 0.895 0.500 0.578 1
```

Record 2
Theoretical PXRD pattern of Fe5Cu2P6O24 for copper Kα, from a structure optimized by DFT (GGA+U).
No peak broadening, texture or thermal motion is included.

Peak list (10 most intense, 2θ = 10–90°, low angle first)
- hkl 0 1 -1, d 6.891, 2θ 12.85, I 20
- hkl -1 1 1, d 4.753, 2θ 18.67, I 21
- hkl 1 -1 1, d 4.367, 2θ 20.34, I 19
- hkl 2 0 -1, d 3.107, 2θ 28.74, I 24
- hkl 0 2 1, d 3.024, 2θ 29.54, I 87
- hkl 0 1 -3, d 3.007, 2θ 29.72, I 100
- hkl 2 1 -1, d 2.685, 2θ 33.37, I 28
- hkl 1 2 -3, d 2.636, 2θ 34.01, I 28
- hkl 0 3 -2, d 2.556, 2θ 35.10, I 23
- hkl 3 -3 2, d 1.602, 2θ 57.53, I 23

Cell and atoms:
```
data_Fe5Cu2P6O24
_symmetry_space_group_name_H-M 'P -1'
_symmetry_Int_Tables_number 2
_cell_length_a 6.335
_cell_length_b 8.053
_cell_length_c 9.458
_cell_angle_alpha 105.66
_cell_angle_beta 107.45
_cell_angle_gamma 101.10
loop_
_symmetry_equiv_pos_as_xyz
'x,y,z'
'-x,-y,-z'
loop_
_atom_site_label
_atom_site_type_symbol
_atom_site_fract_x
_atom_site_fract_y
_atom_site_fract_z
_atom_site_occupancy
Fe1 Fe 0.000 0.000 0.000 1
Fe2 Fe 0.049 0.721 0.526 1
Fe3 Fe 0.384 0.453 0.116 1
Cu1 Cu 0.260 0.805 0.270 1
P1 P 0.094 0.593 0.831 1
P2 P 0.232 0.148 0.771 1
P3 P 0.400 0.228 0.370 1
O1 O 0.020 0.194 0.667 1
O2 O 0.069 0.549 0.654 1
O3 O 0.114 0.787 0.915 1
O4 O 0.122 0.534 0.163 1
O5 O 0.206 0.949 0.705 1
O6 O 0.232 0.200 0.943 1
O7 O 0.248 0.275 0.464 1
O8 O 0.281 0.036 0.239 1
O9 O 0.311 0.539 0.915 1
O10 O 0.363 0.757 0.509 1
O11 O 0.438 0.360 0.282 1
O12 O 0.462 0.263 0.771 1
```

Record 3
Theoretical PXRD pattern of Ba3Fe4P8PbO28 for copper Kα, from a structure optimized by DFT (GGA+U).
No peak broadening, texture or thermal motion is included.

Peak list (10 most intense, 2θ = 10–90°, low angle first)
- hkl 0 1 -1, d 7.121, 2θ 12.43, I 18
- hkl 0 0 2, d 6.505, 2θ 13.61, I 33
- hkl 1 0 3, d 3.454, 2θ 25.80, I 14
- hkl 1 0 -3, d 3.396, 2θ 26.24, I 100
- hkl 1 1 3, d 3.209, 2θ 27.80, I 16
- hkl 1 -1 3, d 3.194, 2θ 27.94, I 14
- hkl 0 2 3, d 3.051, 2θ 29.27, I 19
- hkl 1 2 2, d 3.029, 2θ 29.49, I 31
- hkl 1 -2 2, d 3.008, 2θ 29.70, I 21
- hkl 2 0 0, d 2.795, 2θ 32.02, I 29

Cell and atoms:
```
data_Ba3Fe4P8PbO28
_symmetry_space_group_name_H-M 'P 1'
_symmetry_Int_Tables_number 1
_cell_length_a 5.591
_cell_length_b 8.535
_cell_length_c 13.011
_cell_angle_alpha 89.55
_cell_angle_beta 89.07
_cell_angle_gamma 89.94
loop_
_symmetry_equiv_pos_as_xyz
'x,y,z'
loop_
_atom_site_label
_atom_site_type_symbol
_atom_site_fract_x
_atom_site_fract_y
_atom_site_fract_z
_atom_site_occupancy
Ba1 Ba 0.000 0.000 0.000 1
Ba2 Ba 0.061 0.500 0.064 1
Ba3 Ba 0.560 0.288 0.564 1
Fe1 Fe 0.096 0.487 0.392 1
Fe2 Fe 0.465 0.800 0.175 1
Fe3 Fe 0.593 0.300 0.892 1
Fe4 Fe 0.965 0.986 0.674 1
P1 P 0.023 0.599 0.620 1
P2 P 0.037 0.091 0.443 1
P3 P 0.092 0.335 0.766 1
P4 P 0.468 0.952 0.798 1
P5 P 0.524 0.191 0.123 1
P6 P 0.537 0.691 0.942 1
P7 P 0.593 0.452 0.267 1
P8 P 0.968 0.834 0.300 1
Pb1 Pb 0.494 0.794 0.500 1
O1 O 0.017 0.016 0.329 1
O2 O 0.039 0.516 0.733 1
O3 O 0.080 0.818 0.192 1
O4 O 0.092 0.771 0.636 1
O5 O 0.099 0.732 0.381 1
O6 O 0.196 0.976 0.801 1
O7 O 0.214 0.521 0.550 1
O8 O 0.272 0.220 0.084 1
O9 O 0.290 0.058 0.481 1
O10 O 0.346 0.768 0.014 1
O11 O 0.364 0.312 0.764 1
O12 O 0.470 0.556 0.185 1
O13 O 0.476 0.466 0.374 1
O14 O 0.476 0.518 0.928 1
O15 O 0.518 0.771 0.829 1
O16 O 0.543 0.271 0.235 1
O17 O 0.584 0.017 0.138 1
O18 O 0.584 0.968 0.690 1
O19 O 0.591 0.054 0.879 1
O20 O 0.695 0.810 0.305 1
O21 O 0.715 0.266 0.051 1
O22 O 0.769 0.576 0.582 1
O23 O 0.789 0.720 0.980 1
O24 O 0.843 0.015 0.513 1
O25 O 0.865 0.475 0.264 1
O26 O 0.971 0.231 0.685 1
O27 O 0.975 0.320 0.873 1
O28 O 0.983 0.266 0.430 1
```

Record 4
Theoretical PXRD pattern of NaFe2P2O8 for copper Kα, from a structure optimized by DFT (GGA+U).
No peak broadening, texture or thermal motion is included.

Peak list (10 most intense, 2θ = 10–90°, low angle first)
- hkl 0 1 0, d 8.617, 2θ 10.27, I 45
- hkl 0 1 1, d 5.597, 2θ 15.84, I 100
- hkl -1 1 1, d 4.499, 2θ 19.73, I 94
- hkl 0 0 2, d 4.302, 2θ 20.65, I 44
- hkl 0 2 -1, d 4.174, 2θ 21.29, I 37
- hkl 0 2 -2, d 3.371, 2θ 26.44, I 58
- hkl 1 2 -1, d 3.020, 2θ 29.58, I 48
- hkl -1 2 2, d 2.887, 2θ 30.97, I 94
- hkl 1 0 2, d 2.834, 2θ 31.57, I 46
- hkl -2 1 1, d 2.560, 2θ 35.06, I 32

Cell and atoms:
```
data_NaFe2P2O8
_symmetry_space_group_name_H-M 'P -1'
_symmetry_Int_Tables_number 2
_cell_length_a 5.146
_cell_length_b 8.955
_cell_length_c 9.049
_cell_angle_alpha 97.11
_cell_angle_beta 104.70
_cell_angle_gamma 101.56
loop_
_symmetry_equiv_pos_as_xyz
'x,y,z'
'-x,-y,-z'
loop_
_atom_site_label
_atom_site_type_symbol
_atom_site_fract_x
_atom_site_fract_y
_atom_site_fract_z
_atom_site_occupancy
Na1 Na 0.079 0.310 0.301 1
Fe1 Fe 0.183 0.123 0.900 1
Fe2 Fe 0.285 0.739 0.401 1
P1 P 0.322 0.426 0.730 1
P2 P 0.412 0.052 0.252 1
O1 O 0.071 0.334 0.580 1
O2 O 0.204 0.102 0.123 1
O3 O 0.242 0.886 0.262 1
O4 O 0.291 0.587 0.776 1
O5 O 0.312 0.955 0.776 1
O6 O 0.333 0.323 0.854 1
O7 O 0.409 0.568 0.327 1
O8 O 0.449 0.161 0.408 1
```

Record 5
Theoretical PXRD pattern of FeCuO2 for copper Kα, from a structure optimized by DFT (GGA+U).
No peak broadening, texture or thermal motion is included.

Peak list (10 most intense, 2θ = 10–90°, low angle first)
- hkl 0 0 4, d 2.886, 2θ 30.98, I 42
- hkl 1 0 1, d 2.587, 2θ 34.67, I 93
- hkl 1 0 2, d 2.412, 2θ 37.28, I 100
- hkl 1 0 3, d 2.185, 2θ 41.32, I 11
- hkl 1 0 5, d 1.742, 2θ 52.52, I 22
- hkl 1 0 6, d 1.558, 2θ 59.31, I 36
- hkl 1 1 0, d 1.533, 2θ 60.40, I 36
- hkl 1 0 7, d 1.401, 2θ 66.77, I 13
- hkl 1 1 4, d 1.354, 2θ 69.43, I 23
- hkl 2 0 2, d 1.294, 2θ 73.16, I 12

Cell and atoms:
```
data_FeCuO2
_symmetry_space_group_name_H-M 'P 63/m m c'
_symmetry_Int_Tables_number 194
_symmetry_space_group_name_Hall '-P 6c 2c'
_cell_length_a 3.0653
_cell_length_b 3.0653
_cell_length_c 11.5458
_cell_angle_alpha 90.00
_cell_angle_beta 90.00
_cell_angle_gamma 120.00
loop_
_atom_site_label
_atom_site_type_symbol
_atom_site_fract_x
_atom_site_fract_y
_atom_site_fract_z
_atom_site_occupancy
Fe1 Fe 0.0000 0.0000 0.0000 1
Cu1 Cu 0.3333 0.6667 0.2500 1
O1 O 0.3333 0.6667 0.0900 1
```

Record 6
Theoretical PXRD pattern of Na2Cr2O7 for copper Kα, from a structure optimized by DFT (GGA+U).
No peak broadening, texture or thermal motion is included.

Peak list (10 most intense, 2θ = 10–90°, low angle first)
- hkl 1 1 1, d 4.723, 2θ 18.79, I 65
- hkl 1 -1 0, d 4.561, 2θ 19.46, I 80
- hkl 0 2 1, d 3.533, 2θ 25.21, I 74
- hkl 0 0 2, d 3.352, 2θ 26.59, I 100
- hkl 1 -1 1, d 3.330, 2θ 26.77, I 41
- hkl 1 2 1, d 3.267, 2θ 27.30, I 72
- hkl 0 2 0, d 3.238, 2θ 27.55, I 55
- hkl -1 1 2, d 3.206, 2θ 27.83, I 73
- hkl 2 0 -1, d 3.144, 2θ 28.39, I 92
- hkl 2 0 1, d 3.076, 2θ 29.02, I 66

Cell and atoms:
```
data_Na2Cr2O7
_symmetry_space_group_name_H-M 'P -1'
_symmetry_Int_Tables_number 2
_cell_length_a 7.049
_cell_length_b 7.116
_cell_length_c 7.341
_cell_angle_alpha 66.01
_cell_angle_beta 89.38
_cell_angle_gamma 85.08
loop_
_symmetry_equiv_pos_as_xyz
'x,y,z'
'-x,-y,-z'
loop_
_atom_site_label
_atom_site_type_symbol
_atom_site_fract_x
_atom_site_fract_y
_atom_site_fract_z
_atom_site_occupancy
Na1 Na 0.116 0.232 0.339 1
Na2 Na 0.345 0.367 0.765 1
Cr1 Cr 0.161 0.737 0.241 1
Cr2 Cr 0.382 0.844 0.816 1
O1 O 0.013 0.341 0.848 1
O2 O 0.077 0.899 0.335 1
O3 O 0.237 0.704 0.764 1
O4 O 0.277 0.535 0.413 1
O5 O 0.323 0.857 0.049 1
O6 O 0.366 0.080 0.643 1
O7 O 0.400 0.266 0.154 1
```